Structure and theoretical powder XRD pattern of Hg2CNCl5 (a PBE-relaxed structure; Cu Kα X-rays).

Structural model:
a = 18.2480 Å, b = 7.1490 Å, c = 11.0338 Å
α = 90.00°, β = 126.78°, γ = 90.00°
Space group C2/m (No. 12)
Symmetry-distinct sites (fractional):
1 Hg 0.0902 0.0000 0.2453
2 Hg 0.0902 0.5000 0.4351
3 C 0.2481 0.5000 0.1248
4 N 0.2261 0.5000 0.2056
5 Cl 0.0282 0.0000 0.3783
6 Cl 0.0285 0.5000 0.1792
7 Cl 0.1257 0.0000 0.0743
8 Cl 0.1256 0.5000 0.6763
9 Cl 0.2500 0.2500 0.5000

Largest 6 diffraction maxima, low angle first, 10° ≤ 2θ ≤ 90°:
- 2θ = 10.05°, I = 100
- 2θ = 14.77°, I = 57
- 2θ = 19.87°, I = 29
- 2θ = 24.91°, I = 49
- 2θ = 27.31°, I = 42
- 2θ = 32.10°, I = 54

=====

Structure and theoretical powder XRD pattern of BaTaF7 (a PBE-relaxed structure; Cu Kα X-rays).

Structural model:
a = 5.7619 Å, b = 10.1869 Å, c = 10.4229 Å
α = 90.00°, β = 92.31°, γ = 90.00°
Space group P2_1/c (No. 14)
Symmetry-distinct sites (fractional):
1 Ba 0.1901 0.1689 0.0094
2 Ta 0.3155 0.6106 0.1855
3 F 0.0311 0.6910 0.2406
4 F 0.1120 0.5419 0.6131
5 F 0.1685 0.0501 0.6348
6 F 0.2443 0.6958 0.0228
7 F 0.3805 0.5455 0.3586
8 F 0.3985 0.0513 0.3804
9 F 0.4992 0.7383 0.7406

Largest 6 diffraction maxima, low angle first, 10° ≤ 2θ ≤ 90°:
- 2θ = 19.40°, I = 100
- 2θ = 19.93°, I = 75
- 2θ = 22.56°, I = 56
- 2θ = 24.64°, I = 76
- 2θ = 25.09°, I = 70
- 2θ = 27.14°, I = 41

=====

Structure and theoretical powder XRD pattern of LiTi2Zn2P2O10 (a PBE-relaxed structure; Cu Kα X-rays).

Structural model:
a = 5.6148 Å, b = 5.7033 Å, c = 7.2365 Å
α = 109.14°, β = 108.89°, γ = 93.63°
Space group P1 (No. 1)
Symmetry-distinct sites (fractional):
1 Li 0.0000 0.0000 0.0000
2 Ti 0.0821 0.5273 0.7631
3 Ti 0.1134 0.5477 0.2616
4 Zn 0.4116 0.2326 0.4996
5 Zn 0.6390 0.6756 0.0128
6 P 0.4889 0.1743 0.0221
7 P 0.7303 0.8996 0.5152
8 O 0.1855 0.4615 0.5172
9 O 0.3537 0.2618 0.1848
10 O 0.3930 0.8819 0.9105
11 O 0.3997 0.3172 0.8656
12 O 0.4277 0.8559 0.4229
13 O 0.7835 0.2257 0.1123
14 O 0.7922 0.1984 0.6058
15 O 0.8261 0.7829 0.3334
16 O 0.8388 0.7969 0.6892
17 O 0.9807 0.6599 0.0148

Largest 6 diffraction maxima, low angle first, 10° ≤ 2θ ≤ 90°:
- 2θ = 23.02°, I = 25
- 2θ = 26.17°, I = 89
- 2θ = 26.84°, I = 28
- 2θ = 26.97°, I = 100
- 2θ = 35.36°, I = 50
- 2θ = 35.64°, I = 26

=====

Structure and theoretical powder XRD pattern of La2Ti2O5 (a PBE-relaxed structure; Cu Kα X-rays).

Structural model:
a = 15.8307 Å, b = 5.5902 Å, c = 5.5400 Å
α = 90.00°, β = 90.00°, γ = 90.00°
Space group Ima2 (No. 46)
Symmetry-distinct sites (fractional):
1 La 0.1249 0.0009 0.0000
2 Ti 0.0000 0.0000 0.5003
3 Ti 0.2500 0.5118 0.9937
4 O 0.0124 0.2492 0.7499
5 O 0.1267 0.5468 0.9979
6 O 0.2500 0.2363 0.2296

Largest 6 diffraction maxima, low angle first, 10° ≤ 2θ ≤ 90°:
- 2θ = 22.60°, I = 17
- 2θ = 32.06°, I = 100
- 2θ = 32.32°, I = 21
- 2θ = 46.14°, I = 24
- 2θ = 57.08°, I = 24
- 2θ = 57.49°, I = 15

=====

Structure and theoretical powder XRD pattern of Er3Al12Os4 (a PBE-relaxed structure; Cu Kα X-rays).

Structural model:
a = 8.8244 Å, b = 8.8244 Å, c = 9.5395 Å
α = 90.00°, β = 90.00°, γ = 120.00°
Space group P6_3/mmc (No. 194)
Symmetry-distinct sites (fractional):
1 Er 0.1938 0.3877 0.2500
2 Al 0.0000 0.0000 0.2500
3 Al 0.1198 0.5599 0.7500
4 Al 0.1627 0.3253 0.5761
5 Al 0.3333 0.6667 0.0151
6 Os 0.0000 0.0000 0.0000
7 Os 0.0000 0.5000 0.0000

Largest 6 diffraction maxima, low angle first, 10° ≤ 2θ ≤ 90°:
- 2θ = 23.28°, I = 31
- 2θ = 29.96°, I = 100
- 2θ = 36.77°, I = 25
- 2θ = 37.72°, I = 24
- 2θ = 40.91°, I = 55
- 2θ = 56.85°, I = 30

=====

Structure and theoretical powder XRD pattern of Ba4Se4S16O31 (a PBE-relaxed structure; Cu Kα X-rays).

Structural model:
a = 5.3338 Å, b = 10.7341 Å, c = 22.1477 Å
α = 90.00°, β = 90.07°, γ = 90.00°
Space group Pm (No. 6)
Symmetry-distinct sites (fractional):
1 Ba 0.0000 0.0000 0.0000
2 Ba 0.0873 0.5000 0.4987
3 Ba 0.4997 0.0000 0.5913
4 Ba 0.5899 0.5000 0.0896
5 Se 0.2397 0.5000 0.8759
6 Se 0.3482 0.0000 0.2149
7 Se 0.7387 0.5000 0.7139
8 Se 0.8489 0.0000 0.3765
9 S 0.1027 0.2431 0.1362
10 S 0.1045 0.1638 0.2267
11 S 0.4821 0.3360 0.8636
12 S 0.4841 0.2582 0.9547
13 S 0.6042 0.2419 0.4550
14 S 0.6063 0.1639 0.3639
15 S 0.9810 0.3361 0.7270
16 S 0.9841 0.2580 0.6358
17 O 0.0890 0.5000 0.0400
18 O 0.1159 0.3493 0.5988
19 O 0.1248 0.1430 0.6477
20 O 0.1456 0.0000 0.8709
21 O 0.2219 0.2379 0.9708
22 O 0.3649 0.2668 0.1208
23 O 0.4633 0.3570 0.4433
24 O 0.4725 0.1507 0.4920
25 O 0.4977 0.0000 0.0532
26 O 0.5927 0.5000 0.5546
27 O 0.6155 0.3500 0.9918
28 O 0.6258 0.1436 0.9433
29 O 0.6457 0.0000 0.7200
30 O 0.7216 0.2376 0.6198
31 O 0.8666 0.2623 0.4711
32 O 0.9432 0.5000 0.3722
33 O 0.9571 0.3568 0.1480
34 O 0.9759 0.1518 0.0981
35 O 0.9974 0.0000 0.5377

Largest 6 diffraction maxima, low angle first, 10° ≤ 2θ ≤ 90°:
- 2θ = 14.56°, I = 65
- 2θ = 19.01°, I = 76
- 2θ = 20.25°, I = 42
- 2θ = 21.70°, I = 67
- 2θ = 24.87°, I = 100
- 2θ = 29.39°, I = 41